Structure and simulated powder diffraction line list of Li7Co5O12 (DFT lattice parameters and positions (PBE+U); a wavelength of 1.5418 Å).
No peak broadening, texture or thermal motion is included.

Structural model:
```
data_Li7Co5O12
_chemical_formula_sum 'Li7 Co5 O12'
_space_group_name_H-M_alt 'P -1'
_space_group_IT_number 2
_cell_length_a 5.680
_cell_length_b 5.732
_cell_length_c 6.416
_cell_angle_alpha 104.09
_cell_angle_beta 102.80
_cell_angle_gamma 90.06
loop_
_space_group_symop_operation_xyz
'x,y,z'
'-x,-y,-z'
loop_
_atom_site_label
_atom_site_type_symbol
_atom_site_fract_x
_atom_site_fract_y
_atom_site_fract_z
Li1 Li 0.000 0.000 0.000
Li2 Li 0.000 0.500 0.000
Li3 Li 0.163 0.166 0.672
Li4 Li 0.326 0.834 0.325
Li5 Li 0.500 0.500 0.000
Co1 Co 0.166 0.671 0.667
Co2 Co 0.329 0.328 0.331
Co3 Co 0.500 0.000 0.000
O1 O 0.086 0.111 0.339
O2 O 0.086 0.562 0.344
O3 O 0.262 0.762 0.982
O4 O 0.271 0.239 0.018
O5 O 0.414 0.438 0.648
O6 O 0.422 0.903 0.682
```

Main lines, most intense first (10° ≤ 2θ ≤ 80°):
h k l, 2theta, I (rel.)
0 1 -1, 18.8, 1000
0 0 3, 44.9, 759
-2 1 1, 37.1, 244
-2 2 3, 66.0, 134
2 -2 3, 64.8, 134
0 1 2, 37.2, 122
2 3 -2, 59.2, 96
1 0 0, 16.0, 92